This entry pairs a crystal structure of LaTl3Te2O9 with its theoretical powder diffractogram. Radiation: Cu Kα (λ = 1.5418 Å). Structure: a structure optimized by DFT (GGA-PBE).
Peak positions follow from Bragg's law for the DFT cell and can differ from measured ones.

Structural model:
```
LaTl3Te2O9
1.0
5.9974 0.0000 0.0000
-2.9987 5.1939 0.0000
0.0000 0.0000 7.5075
La Tl Te O
1 3 2 9
direct
0.0000 0.0000 0.0000
0.0000 0.0000 0.5000
0.3333 0.6667 0.1755
0.6667 0.3333 0.8245
0.3333 0.6667 0.6612
0.6667 0.3333 0.3388
0.0000 0.5000 0.5000
0.1796 0.3592 0.8025
0.1796 0.8204 0.8025
0.3592 0.1796 0.1975
0.5000 0.0000 0.5000
0.5000 0.5000 0.5000
0.6408 0.8204 0.8025
0.8204 0.1796 0.1975
0.8204 0.6408 0.1975
```

Principal peaks in the range 2θ = 10–80°, by intensity:
| Position (°2θ) | Rel. int. | h k l |
| --- | --- | --- |
| 29.36 | 100 | 0 1 2 |
| 29.79 | 96 | 1 1 0 |
| 42.32 | 53 | 2 0 2 |
| 52.61 | 40 | 1 2 2 |
| 51.79 | 21 | 1 0 4 |
| 52.88 | 20 | 3 0 0 |
| 69.26 | 18 | 2 1 4 |
| 69.95 | 18 | 3 1 2 |
| 61.88 | 17 | 2 2 0 |
| 60.90 | 17 | 0 2 4 |